Starting from DFT lattice parameters and positions (PBE+U), the X-ray diffraction stick pattern of Li4VTe3O12 was calculated for Cu Kα.
No peak broadening, texture or thermal motion is included.

Cell and atoms:
```
data_Li4VTe3O12
_cell_length_a 5.2226
_cell_length_b 5.6439
_cell_length_c 7.6680
_cell_angle_alpha 95.69
_cell_angle_beta 90.09
_cell_angle_gamma 90.00
_symmetry_space_group_name_H-M 'P 1'
_symmetry_Int_Tables_number 1
loop_
_symmetry_equiv_pos_as_xyz
'x,y,z'
loop_
_atom_site_label
_atom_site_fract_x
_atom_site_fract_y
_atom_site_fract_z
Li1 0.0000 0.0000 0.0000
Li2 0.0050 0.9787 0.5304
Li3 0.5052 0.5122 0.0022
Li4 0.5136 0.5087 0.5264
V1 0.5043 0.9366 0.7929
Te1 0.0082 0.4171 0.3020
Te2 0.5103 0.9210 0.2967
Te3 0.9990 0.4521 0.8005
O1 0.1446 0.4069 0.5391
O2 0.1830 0.0963 0.2440
O3 0.1967 0.7289 0.8779
O4 0.3191 0.5917 0.2418
O5 0.3512 0.1869 0.8852
O6 0.3745 0.8966 0.5651
O7 0.6401 0.8770 0.0625
O8 0.6661 0.5852 0.7622
O9 0.7128 0.2187 0.3880
O10 0.8037 0.0416 0.7484
O11 0.8076 0.7065 0.3874
O12 0.8694 0.3848 0.0686
```

The 10 most intense peaks (10° ≤ 2θ ≤ 80°), by intensity:
| d_spacing | Position (°2θ) | I (rel.) |
| --- | --- | --- |
| 3.821 | 23.28 | 1000 |
| 2.797 | 32.00 | 275 |
| 2.613 | 34.32 | 240 |
| 1.757 | 52.05 | 136 |
| 2.808 | 31.87 | 135 |
| 1.912 | 47.55 | 115 |
| 1.662 | 55.27 | 108 |
| 2.155 | 41.93 | 98 |
| 1.762 | 51.88 | 87 |
| 1.509 | 61.42 | 78 |